For Nd2Sm5Ag4, a structure optimized by DFT (PBE) gives the computed powder diffraction line list in this record (Cu Kα (weighted mean of Kα1 and Kα2)).

Peak list (10 most intense, 2θ from 15° to 90°, sorted by position)
| two_theta | I (rel.) | hkl |
| --- | --- | --- |
| 25.8 | 34 | 1 1 0 |
| 30.3 | 87 | 3 1 1 |
| 30.5 | 100 | 8 0 -1 |
| 32.5 | 80 | 6 0 2 |
| 35.4 | 51 | 1 1 2 |
| 36.6 | 67 | 2 0 -3 |
| 39.3 | 45 | 5 1 -2 |
| 43.4 | 28 | 9 1 1 |
| 52.5 | 44 | 0 2 0 |
| 61.8 | 26 | 8 2 -1 |

Atomic structure:
a = 25.2527 Å, b = 3.4911 Å, c = 7.4777 Å
α = 90.00°, β = 91.50°, γ = 90.00°
Space group C2/m (No. 12)
One atom of each set of equivalent atoms:
Nd  0.0962  0.0000  0.1855 [4 per cell]
Sm  0.0000  0.5000  0.5000 [2 per cell]
Sm  0.1365  0.0000  0.6457 [4 per cell]
Sm  0.2331  0.0000  0.2895 [4 per cell]
Ag  0.0271  0.0000  0.8357 [4 per cell]
Ag  0.1771  0.5000  0.9763 [4 per cell]